Entry 1:
Diffraction record for Er4TmLu. The X-ray powder pattern is calculated, not measured: it uses a DFT-relaxed cell (PBE, Alexandria) and Cu Kα (λ = 1.5418 Å).
Lines closer than 0.1° are merged.

Atomic structure:
Lattice parameters (Å, degrees): 9.118 9.118 9.118 90.00 90.00 90.00
Space group F-43m (No. 216)
Asymmetric unit:
Er 0.125 0.125 0.125 x16
Tm 0.000 0.000 0.500 x4
Lu 0.250 0.250 0.750 x4

Top 12 peaks for 2θ = 10–90°, sorted by position:
2θ/deg  d (Å)  intensity
27.67  3.224  27
32.57  2.749  100
34.06  2.632  40
48.94  1.861  12
52.13  1.755  36
57.15  1.612  31
64.66  1.442  5
67.35  1.390  12
68.23  1.375  16
78.51  1.218  6
81.00  1.187  23
85.13  1.140  5

---

Entry 2:
Diffraction record for Er13Mg3. The X-ray powder pattern is calculated, not measured: it uses a DFT-relaxed cell (PBE, Alexandria) and Cu Kα (λ = 1.5418 Å).
Lines closer than 0.1° are merged.

Atomic structure:
Lattice parameters (Å, degrees): 7.055 11.135 11.999 90.00 90.00 90.00
Space group Amm2 (No. 38)
Asymmetric unit:
Er 0.000 0.000 0.000 x2
Er 0.000 0.000 0.478 x2
Er 0.000 0.246 0.659 x4
Er 0.251 0.244 0.907 x8
Er 0.252 0.000 0.736 x4
Er 0.500 0.000 0.483 x2
Er 0.500 0.249 0.153 x4
Mg 0.257 0.000 0.238 x4
Mg 0.500 0.000 0.988 x2

Top 12 peaks for 2θ = 10–90°, sorted by position:
2θ/deg  d (Å)  intensity
10.84  8.162  16
29.37  3.041  24
29.78  3.000  14
32.16  2.784  36
33.58  2.669  100
33.95  2.641  45
44.11  2.053  16
52.61  1.740  18
58.24  1.584  21
62.32  1.490  11
63.01  1.475  20
63.42  1.467  15

---

Entry 3:
Diffraction record for Er5Mg. The X-ray powder pattern is calculated, not measured: it uses a DFT-relaxed cell (PBE, Alexandria) and Cu Kα (λ = 1.5418 Å).
Lines closer than 0.1° are merged.

Atomic structure:
Lattice parameters (Å, degrees): 12.140 3.707 8.477 90.00 112.20 90.00
Space group Cm (No. 8)
Asymmetric unit:
Er 0.000 0.000 0.000 x2
Er 0.023 0.000 0.457 x2
Er 0.181 0.500 0.837 x2
Er 0.205 0.500 0.296 x2
Er 0.353 0.000 0.648 x2
Mg 0.352 0.000 0.147 x2

Top 12 peaks for 2θ = 10–90°, sorted by position:
2θ/deg  d (Å)  intensity
26.49  3.365  16
29.44  3.034  15
31.38  2.851  44
31.82  2.812  19
32.08  2.790  100
32.39  2.764  52
34.02  2.635  89
42.69  2.118  17
48.90  1.863  15
49.15  1.854  17
56.32  1.634  19
60.07  1.540  44

---

Entry 4:
Diffraction record for ErMg6. The X-ray powder pattern is calculated, not measured: it uses a DFT-relaxed cell (PBE, Alexandria) and Cu Kα (λ = 1.5418 Å).
Lines closer than 0.1° are merged.

Atomic structure:
Lattice parameters (Å, degrees): 9.424 5.959 12.127 90.00 90.00 90.00
Space group Pnma (No. 62)
Asymmetric unit:
Er 0.247 0.250 0.068 x4
Mg 0.055 0.750 0.084 x4
Mg 0.063 0.011 0.308 x8
Mg 0.097 0.250 0.520 x4
Mg 0.142 0.750 0.851 x4
Mg 0.192 0.250 0.754 x4

Top 12 peaks for 2θ = 10–90°, sorted by position:
2θ/deg  d (Å)  intensity
17.39  5.099  47
18.83  4.712  29
19.08  4.651  100
26.65  3.345  41
29.99  2.979  30
30.99  2.886  52
32.83  2.728  82
33.07  2.709  80
33.51  2.674  22
34.88  2.572  28
35.65  2.518  31
43.66  2.073  27

---

Entry 5:
Diffraction record for ErMg4. The X-ray powder pattern is calculated, not measured: it uses a DFT-relaxed cell (PBE, Alexandria) and Cu Kα (λ = 1.5418 Å).
Lines closer than 0.1° are merged.

Atomic structure:
Lattice parameters (Å, degrees): 3.577 3.577 19.088 90.00 90.00 90.00
Space group I4/mmm (No. 139)
Asymmetric unit:
Er 0.000 0.000 0.000 x2
Mg 0.000 0.000 0.202 x4
Mg 0.000 0.000 0.390 x4

Top 12 peaks for 2θ = 10–90°, sorted by position:
2θ/deg  d (Å)  intensity
18.59  4.772  29
25.33  3.516  61
28.63  3.118  51
34.36  2.610  100
35.49  2.529  47
36.76  2.445  21
40.36  2.235  17
45.83  1.980  14
51.07  1.788  16
59.22  1.560  14
60.79  1.524  18
63.01  1.475  34

---

Entry 6:
Diffraction record for Er3Mg7. The X-ray powder pattern is calculated, not measured: it uses a DFT-relaxed cell (PBE, Alexandria) and Cu Kα (λ = 1.5418 Å).
Lines closer than 0.1° are merged.

Atomic structure:
Lattice parameters (Å, degrees): 15.996 5.132 6.463 90.00 108.19 90.00
Space group C2/m (No. 12)
Asymmetric unit:
Er 0.000 0.000 0.000 x2
Er 0.206 0.000 0.801 x4
Mg 0.000 0.000 0.500 x2
Mg 0.093 0.500 0.869 x4
Mg 0.106 0.500 0.383 x4
Mg 0.200 0.000 0.306 x4

Top 12 peaks for 2θ = 10–90°, sorted by position:
2θ/deg  d (Å)  intensity
14.43  6.140  41
18.24  4.863  45
23.39  3.804  68
24.46  3.639  87
25.73  3.463  28
33.88  2.645  100
34.29  2.615  94
34.77  2.580  45
34.97  2.566  46
42.49  2.127  29
50.14  1.820  32
62.28  1.491  32